Structure and calculated X-ray powder pattern of PrNpCr2O6 (a structure optimized by DFT (GGA+U); λ = 1.5418 Å (Cu Kα)).
Lines closer than 0.1° are merged.

Largest 10 diffraction maxima, low angle first, 2θ from 10° to 90°:
| h k l | 2θ/deg | d (Å) | intensity |
| --- | --- | --- | --- |
| 2 0 0 | 22.5 | 3.953 | 24 |
| 1 1 -1 | 22.7 | 3.917 | 43 |
| 1 1 1 | 32.1 | 2.786 | 100 |
| 3 1 -1 | 32.2 | 2.781 | 70 |
| 2 0 -2 | 32.6 | 2.748 | 33 |
| 2 2 0 | 39.5 | 2.280 | 20 |
| 4 0 -2 | 40.0 | 2.256 | 23 |
| 2 2 -2 | 46.4 | 1.958 | 37 |
| 1 3 1 | 57.2 | 1.610 | 29 |
| 5 1 -3 | 57.9 | 1.593 | 26 |

Atomic structure:
```
data_PrNpCr2O6
_space_group_name_H-M_alt 'C 1 2 1'
_space_group_IT_number 5
_cell_length_a 9.6206
_cell_length_b 5.5834
_cell_length_c 5.4957
_cell_angle_alpha 90.00
_cell_angle_beta 124.74
_cell_angle_gamma 90.00
loop_
_space_group_symop_operation_xyz
'x,y,z'
'-x,y,-z'
'x+1/2,y+1/2,z'
'-x+1/2,y+1/2,-z'
loop_
_atom_site_label
_atom_site_type_symbol
_atom_site_fract_x
_atom_site_fract_y
_atom_site_fract_z
Pr1 Pr 0.0000 0.0000 0.0000
Np1 Np 0.0000 0.4705 0.5000
Cr1 Cr 0.2498 0.4859 0.2498
O1 O 0.0000 0.5781 0.0000
O2 O 0.0000 0.8845 0.5000
O3 O 0.1931 0.2395 0.4466
O4 O 0.1933 0.2413 0.9381
```